# Ba4AsI3
Calculated X-ray diffraction stick pattern, Cu Kα (λ = 1.5418 Å). Input: a crystal structure in Alexandria, relaxed with PBE.
Intensities are scaled so that the largest is 100.

```
data_Ba4AsI3
_chemical_formula_sum 'Ba8 As2 I6'
_symmetry_space_group_name_H-M 'P 1 2/c 1'
_symmetry_Int_Tables_number 13
_cell_length_a 8.732
_cell_length_b 9.893
_cell_length_c 8.451
_cell_angle_alpha 90.00
_cell_angle_beta 109.25
_cell_angle_gamma 90.00
loop_
_symmetry_equiv_pos_as_xyz
'x,y,z'
'-x,-y,-z'
'-x,y,-z+1/2'
'x,-y,z+1/2'
loop_
_atom_site_label
_atom_site_type_symbol
_atom_site_fract_x
_atom_site_fract_y
_atom_site_fract_z
_atom_site_occupancy
Ba1 Ba 0.215 0.109 0.000 1
Ba2 Ba 0.226 0.356 0.478 1
As1 As 0.000 0.125 0.250 1
I1 I 0.000 0.375 0.750 1
I2 I 0.500 0.127 0.750 1
I3 I 0.500 0.378 0.250 1
```

Most intense lines, 15 to 90 degrees two-theta, in order of falling intensity:
- d = 3.505 Å, 25.41°, I 100.0, hkl 2 0 -2
- d = 2.448 Å, 36.72°, I 25.2, hkl 1 2 -3
- d = 2.508 Å, 35.80°, I 24.2, hkl 3 2 -1
- d = 2.020 Å, 44.87°, I 12.8, hkl 2 4 -2
- d = 2.473 Å, 36.32°, I 12.3, hkl 0 4 0
- d = 2.486 Å, 36.13°, I 12.1, hkl 2 0 2

# Ba4AsI4
Calculated X-ray diffraction stick pattern, Cu Kα (λ = 1.5418 Å). Input: a crystal structure in Alexandria, relaxed with PBE.
Intensities are scaled so that the largest is 100.

```
data_Ba4AsI4
_chemical_formula_sum 'Ba8 As2 I8'
_symmetry_space_group_name_H-M 'C 1 2/m 1'
_symmetry_Int_Tables_number 12
_cell_length_a 16.549
_cell_length_b 4.915
_cell_length_c 12.190
_cell_angle_alpha 90.00
_cell_angle_beta 120.36
_cell_angle_gamma 90.00
loop_
_symmetry_equiv_pos_as_xyz
'x,y,z'
'-x,-y,-z'
'-x,y,-z'
'x,-y,z'
'x+1/2,y+1/2,z'
'-x+1/2,-y+1/2,-z'
'-x+1/2,y+1/2,-z'
'x+1/2,-y+1/2,z'
loop_
_atom_site_label
_atom_site_type_symbol
_atom_site_fract_x
_atom_site_fract_y
_atom_site_fract_z
_atom_site_occupancy
Ba1 Ba 0.084 0.000 0.409 1
Ba2 Ba 0.188 0.500 0.778 1
As1 As 0.000 0.500 0.500 1
I1 I 0.107 0.000 0.906 1
I2 I 0.195 0.500 0.301 1
```

Most intense lines, 15 to 90 degrees two-theta, in order of falling intensity:
- d = 3.507 Å, 25.40°, I 100.0, hkl 3 1 -2
- d = 2.469 Å, 36.38°, I 73.2, hkl 1 1 -4
- d = 3.478 Å, 25.62°, I 48.4, hkl 2 0 2
- d = 1.558 Å, 59.34°, I 24.2, hkl 3 3 -2
- d = 2.007 Å, 45.18°, I 20.6, hkl 2 2 2
- d = 2.457 Å, 36.57°, I 19.9, hkl 0 2 0

# Ba2As2I
Calculated X-ray diffraction stick pattern, Cu Kα (λ = 1.5418 Å). Input: a crystal structure in Alexandria, relaxed with PBE.
Intensities are scaled so that the largest is 100.

```
data_Ba2As2I
_chemical_formula_sum 'Ba8 As8 I4'
_symmetry_space_group_name_H-M 'I m m a'
_symmetry_Int_Tables_number 74
_symmetry_space_group_name_Hall '-I 2b 2'
_cell_length_a 9.077
_cell_length_b 18.450
_cell_length_c 4.710
_cell_angle_alpha 90.00
_cell_angle_beta 90.00
_cell_angle_gamma 90.00
loop_
_atom_site_label
_atom_site_type_symbol
_atom_site_fract_x
_atom_site_fract_y
_atom_site_fract_z
_atom_site_occupancy
Ba1 Ba 0.250 0.100 0.250 1
As1 As 0.000 0.032 0.746 1
I1 I 0.000 0.250 0.129 1
```

Most intense lines, 15 to 90 degrees two-theta, in order of falling intensity:
- d = 2.886 Å, 30.99°, I 100.0, hkl 2 3 1
- d = 3.235 Å, 27.57°, I 73.2, hkl 2 4 0
- d = 4.563 Å, 19.45°, I 39.7, hkl 0 1 1
- d = 2.300 Å, 39.17°, I 35.0, hkl 0 7 1
- d = 1.616 Å, 57.00°, I 25.0, hkl 4 7 1
- d = 2.269 Å, 39.72°, I 20.2, hkl 4 0 0